1.
# Ca2TbPr
Calculated powder diffractogram, a wavelength of 1.5418 Å. Input: a DFT-relaxed cell (PBE, Alexandria).
Peak positions follow from Bragg's law for the DFT cell and can differ from measured ones.

```
data_Ca2TbPr
_cell_length_a 3.7466
_cell_length_b 3.7466
_cell_length_c 37.1130
_cell_angle_alpha 90.00
_cell_angle_beta 90.00
_cell_angle_gamma 120.00
_space_group_name_H-M_alt 'R 3 m'
_space_group_IT_number 160
_space_group_name_Hall 'R 3 -2"'
loop_
_atom_site_label
_atom_site_fract_x
_atom_site_fract_y
_atom_site_fract_z
_atom_site_occupancy
Ca1 0.0000 0.0000 0.0000 1
Ca2 0.0000 0.0000 0.4216 1
Tb1 0.0000 0.0000 0.5837 1
Pr1 0.0000 0.0000 0.8418 1
```

Largest 10 diffraction maxima, sorted by position, 2θ = 10–80°:
h k l, Position (°2θ), d (Å), I_rel
1 0 1, 27.60, 3.232, 48
0 0 12, 28.87, 3.093, 56
1 0 4, 29.16, 3.063, 75
0 1 5, 30.06, 2.973, 78
1 0 7, 32.35, 2.768, 100
0 1 8, 33.71, 2.659, 56
0 1 11, 38.49, 2.339, 30
1 1 0, 48.60, 1.873, 43
1 0 19, 54.86, 1.673, 27
1 1 12, 57.52, 1.602, 47

***

2.
# HoAl2ZnPd4
Calculated powder diffractogram, a wavelength of 1.5418 Å. Input: a DFT-relaxed cell (PBE, Alexandria).
Peak positions follow from Bragg's law for the DFT cell and can differ from measured ones.

```
data_HoAl2ZnPd4
_cell_length_a 4.3183
_cell_length_b 4.3183
_cell_length_c 24.9484
_cell_angle_alpha 90.00
_cell_angle_beta 90.00
_cell_angle_gamma 120.00
_space_group_name_H-M_alt 'R -3 m'
_space_group_IT_number 166
_space_group_name_Hall '-R 3 2"'
loop_
_atom_site_label
_atom_site_fract_x
_atom_site_fract_y
_atom_site_fract_z
_atom_site_occupancy
Ho1 0.0000 0.0000 0.0000 1
Al1 0.0000 0.0000 0.2408 1
Zn1 0.0000 0.0000 0.5000 1
Pd1 0.0000 0.0000 0.1301 1
Pd2 0.0000 0.0000 0.3985 1
```

Largest 10 diffraction maxima, sorted by position, 2θ = 10–80°:
h k l, Position (°2θ), d (Å), I_rel
0 1 2, 24.86, 3.582, 40
0 1 5, 29.86, 2.993, 19
1 0 7, 34.77, 2.580, 30
0 1 8, 37.55, 2.395, 86
1 1 0, 41.84, 2.159, 100
1 0 10, 43.61, 2.076, 20
2 0 8, 57.46, 1.604, 25
1 1 15, 71.62, 1.318, 17
1 2 8, 73.57, 1.287, 23
3 0 0, 76.40, 1.247, 16